Entry 1:
This entry pairs a crystal structure of Rb2PtO2 with its theoretical powder XRD pattern. Radiation: λ = 1.5418 Å (Cu Kα). Structure: the PBE geometry in OQMD.
Peak positions follow from Bragg's law for the DFT cell and can differ from measured ones.

a = 5.9233 Å, b = 5.9233 Å, c = 9.9905 Å
α = 90.00°, β = 90.00°, γ = 147.97°
Element x y z (fractional)
Rb1 0.1030 0.8970 0.5000
Rb2 0.3505 0.6495 0.6799
Rb3 0.6495 0.3505 0.1799
Rb4 0.8970 0.1030 0.0000
Pt1 0.3782 0.6218 0.3447
Pt2 0.6218 0.3782 0.8447
O1 0.0341 0.9659 0.7625
O2 0.2063 0.7937 0.9332
O3 0.7937 0.2063 0.4332
O4 0.9659 0.0341 0.2625

Most intense lines, 10° ≤ 2θ ≤ 90°, low angle first:
- 17.76°, rel. 27.6
- 17.93°, rel. 40.1
- 29.81°, rel. 37.5
- 31.11°, rel. 100.0
- 31.43°, rel. 38.7
- 33.70°, rel. 33.8
- 36.29°, rel. 24.5
- 37.41°, rel. 39.6
- 39.43°, rel. 21.2
- 65.73°, rel. 23.4

=====

Entry 2:
This entry pairs a crystal structure of NaReAgSe2S with its theoretical powder XRD pattern. Radiation: λ = 1.5418 Å (Cu Kα). Structure: the PBE geometry in OQMD.
Peak positions follow from Bragg's law for the DFT cell and can differ from measured ones.

a = 7.0211 Å, b = 7.0211 Å, c = 9.9142 Å
α = 90.00°, β = 90.00°, γ = 148.67°
Element x y z (fractional)
Na1 0.2440 0.7560 0.7500
Na2 0.7560 0.2440 0.2500
Re1 0.5000 0.5000 0.0000
Re2 0.5000 0.5000 0.5000
Ag1 0.0591 0.9409 0.2500
Ag2 0.9409 0.0591 0.7500
Se1 0.1318 0.8682 0.0158
Se2 0.1318 0.8682 0.4842
Se3 0.8682 0.1318 0.5158
Se4 0.8682 0.1318 0.9842
S1 0.4329 0.5671 0.2500
S2 0.5671 0.4329 0.7500

Most intense lines, 10° ≤ 2θ ≤ 90°, low angle first:
- 13.10°, rel. 100.0
- 17.89°, rel. 21.8
- 30.41°, rel. 20.2
- 30.82°, rel. 31.3
- 32.14°, rel. 21.2
- 35.86°, rel. 66.5
- 36.24°, rel. 34.1
- 44.15°, rel. 18.3
- 45.06°, rel. 19.6
- 61.59°, rel. 17.5

=====

Entry 3:
This entry pairs a crystal structure of SrHfF6 with its theoretical powder XRD pattern. Radiation: λ = 1.5418 Å (Cu Kα). Structure: the PBE geometry in OQMD.
Peak positions follow from Bragg's law for the DFT cell and can differ from measured ones.

a = 5.7781 Å, b = 5.8237 Å, c = 14.0798 Å
α = 90.00°, β = 98.35°, γ = 90.00°
Element x y z (fractional)
Sr1 0.1546 0.1050 0.1392
Sr2 0.1546 0.3950 0.6392
Sr3 0.8454 0.6050 0.3608
Sr4 0.8454 0.8950 0.8608
Hf1 0.3282 0.1373 0.4001
Hf2 0.3282 0.3627 0.9001
Hf3 0.6718 0.6373 0.0999
Hf4 0.6718 0.8627 0.5999
F1 0.1010 0.6038 0.9167
F2 0.1010 0.8962 0.4167
F3 0.1086 0.2022 0.7898
F4 0.1086 0.2978 0.2898
F5 0.1296 0.1325 0.9590
F6 0.1296 0.3675 0.4590
F7 0.4079 0.1117 0.5547
F8 0.4079 0.3883 0.0547
F9 0.4172 0.6396 0.5831
F10 0.4172 0.8604 0.0831
F11 0.4218 0.5061 0.7809
F12 0.4218 0.9939 0.2809
F13 0.5782 0.0061 0.7191
F14 0.5782 0.4939 0.2191
F15 0.5828 0.1396 0.9169
F16 0.5828 0.3604 0.4169
F17 0.5921 0.6117 0.9453
F18 0.5921 0.8883 0.4453
F19 0.8704 0.6325 0.5410
F20 0.8704 0.8675 0.0410
F21 0.8914 0.7022 0.7102
F22 0.8914 0.7978 0.2102
F23 0.8990 0.1038 0.5833
F24 0.8990 0.3962 0.0833

Most intense lines, 10° ≤ 2θ ≤ 90°, low angle first:
- 18.59°, rel. 31.0
- 19.87°, rel. 26.1
- 21.78°, rel. 93.9
- 22.06°, rel. 100.0
- 25.58°, rel. 42.0
- 26.44°, rel. 25.0
- 30.63°, rel. 37.4
- 32.02°, rel. 47.1
- 35.64°, rel. 36.1
- 44.20°, rel. 51.8

=====

Entry 4:
This entry pairs a crystal structure of KSrTb with its theoretical powder XRD pattern. Radiation: λ = 1.5418 Å (Cu Kα). Structure: the PBE geometry in OQMD.
Peak positions follow from Bragg's law for the DFT cell and can differ from measured ones.

a = 6.1798 Å, b = 6.1798 Å, c = 6.1798 Å
α = 60.00°, β = 60.00°, γ = 60.00°
Element x y z (fractional)
K1 0.0000 0.0000 0.0000
Sr1 0.7500 0.7500 0.7500
Tb1 0.2500 0.2500 0.2500

Most intense lines, 10° ≤ 2θ ≤ 90°, low angle first:
- 17.58°, rel. 17.5
- 20.32°, rel. 59.2
- 28.90°, rel. 100.0
- 35.59°, rel. 19.6
- 41.32°, rel. 18.7
- 46.47°, rel. 28.2
- 51.21°, rel. 39.6
- 63.91°, rel. 13.9
- 67.82°, rel. 16.8
- 82.62°, rel. 19.6

=====

Entry 5:
This entry pairs a crystal structure of AsIrAuO with its theoretical powder XRD pattern. Radiation: λ = 1.5418 Å (Cu Kα). Structure: the PBE geometry in OQMD.
Peak positions follow from Bragg's law for the DFT cell and can differ from measured ones.

a = 3.4133 Å, b = 6.0571 Å, c = 7.1405 Å
α = 90.00°, β = 90.00°, γ = 90.00°
Element x y z (fractional)
As1 0.0000 0.2147 0.0000
As2 0.0000 0.7853 0.5000
Ir1 0.5000 0.4760 0.0837
Ir2 0.5000 0.5240 0.5837
Au1 0.0000 0.1592 0.6564
Au2 0.0000 0.8408 0.1564
O1 0.5000 0.3806 0.3454
O2 0.5000 0.6194 0.8454

Most intense lines, 10° ≤ 2θ ≤ 90°, low angle first:
- 19.22°, rel. 35.9
- 24.94°, rel. 88.6
- 30.05°, rel. 100.0
- 32.10°, rel. 38.7
- 32.62°, rel. 42.8
- 39.44°, rel. 62.0
- 39.79°, rel. 50.5
- 40.73°, rel. 26.5
- 47.54°, rel. 38.3
- 49.02°, rel. 28.3

=====

Entry 6:
This entry pairs a crystal structure of Cu7Ag with its theoretical powder XRD pattern. Radiation: λ = 1.5418 Å (Cu Kα). Structure: the PBE geometry in OQMD.
Peak positions follow from Bragg's law for the DFT cell and can differ from measured ones.

a = 3.6920 Å, b = 3.6920 Å, c = 7.3525 Å
α = 90.00°, β = 90.00°, γ = 90.00°
Element x y z (fractional)
Cu1 0.0000 0.0000 0.0000
Cu2 0.0000 0.0000 0.5000
Cu3 0.0000 0.5000 0.2375
Cu4 0.0000 0.5000 0.7625
Cu5 0.5000 0.0000 0.2375
Cu6 0.5000 0.0000 0.7625
Cu7 0.5000 0.5000 0.0000
Ag1 0.5000 0.5000 0.5000

Most intense lines, 10° ≤ 2θ ≤ 90°, low angle first:
- 27.02°, rel. 1.8
- 34.40°, rel. 1.4
- 36.52°, rel. 1.8
- 42.47°, rel. 100.0
- 49.37°, rel. 31.8
- 49.59°, rel. 15.0
- 72.40°, rel. 9.2
- 72.58°, rel. 17.5
- 87.71°, rel. 21.7
- 88.05°, rel. 9.8

=====

Entry 7:
This entry pairs a crystal structure of Cu7Ag3 with its theoretical powder XRD pattern. Radiation: λ = 1.5418 Å (Cu Kα). Structure: the PBE geometry in OQMD.
Peak positions follow from Bragg's law for the DFT cell and can differ from measured ones.

a = 6.5755 Å, b = 2.7281 Å, c = 7.8935 Å
α = 90.00°, β = 104.20°, γ = 90.00°
Element x y z (fractional)
Cu1 0.0000 0.0000 0.0000
Cu2 0.2107 0.0000 0.6177
Cu3 0.3021 0.5000 0.9046
Cu4 0.4070 0.0000 0.1816
Cu5 0.5930 0.0000 0.8184
Cu6 0.6979 0.5000 0.0954
Cu7 0.7893 0.0000 0.3823
Ag1 0.0971 0.5000 0.2991
Ag2 0.5000 0.5000 0.5000
Ag3 0.9029 0.5000 0.7009

Most intense lines, 10° ≤ 2θ ≤ 90°, low angle first:
- 41.08°, rel. 100.0
- 41.21°, rel. 97.1
- 47.23°, rel. 65.3
- 49.17°, rel. 27.2
- 68.83°, rel. 9.9
- 70.55°, rel. 33.8
- 83.48°, rel. 11.4
- 83.49°, rel. 10.9
- 83.74°, rel. 21.4
- 86.52°, rel. 17.9

=====

Entry 8:
This entry pairs a crystal structure of GdTeAuO with its theoretical powder XRD pattern. Radiation: λ = 1.5418 Å (Cu Kα). Structure: the PBE geometry in OQMD.
Peak positions follow from Bragg's law for the DFT cell and can differ from measured ones.

a = 5.7088 Å, b = 5.7318 Å, c = 10.2008 Å
α = 90.00°, β = 90.00°, γ = 90.00°
Element x y z (fractional)
Gd1 0.0000 0.0000 0.0000
Gd2 0.0000 0.5000 0.2162
Gd3 0.5000 0.0000 0.2162
Gd4 0.5000 0.5000 0.0000
Te1 0.0000 0.0000 0.3908
Te2 0.0000 0.5000 0.8206
Te3 0.5000 0.0000 0.8206
Te4 0.5000 0.5000 0.3908
Au1 0.2047 0.1588 0.6185
Au2 0.2953 0.6588 0.6185
Au3 0.7047 0.3412 0.6185
Au4 0.7953 0.8412 0.6185
O1 0.2493 0.2485 0.1069
O2 0.2507 0.7485 0.1069
O3 0.7493 0.2515 0.1069
O4 0.7507 0.7515 0.1069

Most intense lines, 10° ≤ 2θ ≤ 90°, low angle first:
- 17.39°, rel. 34.8
- 28.16°, rel. 100.0
- 32.58°, rel. 49.3
- 34.46°, rel. 85.6
- 36.06°, rel. 43.8
- 36.18°, rel. 48.1
- 39.38°, rel. 38.5
- 44.40°, rel. 33.9
- 44.81°, rel. 45.5
- 57.80°, rel. 30.2

=====

Entry 9:
This entry pairs a crystal structure of Ba2HfPtS6 with its theoretical powder XRD pattern. Radiation: λ = 1.5418 Å (Cu Kα). Structure: the PBE geometry in OQMD.
Peak positions follow from Bragg's law for the DFT cell and can differ from measured ones.

a = 6.9168 Å, b = 6.9168 Å, c = 6.9168 Å
α = 60.00°, β = 60.00°, γ = 60.00°
Element x y z (fractional)
Ba1 0.2500 0.2500 0.2500
Ba2 0.7500 0.7500 0.7500
Hf1 0.0000 0.0000 0.0000
Pt1 0.5000 0.5000 0.5000
S1 0.2553 0.2553 0.7447
S2 0.2553 0.7447 0.2553
S3 0.2553 0.7447 0.7447
S4 0.7447 0.2553 0.2553
S5 0.7447 0.2553 0.7447
S6 0.7447 0.7447 0.2553

Most intense lines, 10° ≤ 2θ ≤ 90°, low angle first:
- 18.14°, rel. 11.1
- 25.76°, rel. 100.0
- 36.75°, rel. 42.9
- 45.42°, rel. 44.6
- 52.95°, rel. 29.2
- 59.79°, rel. 20.1
- 66.19°, rel. 9.9
- 72.28°, rel. 23.1
- 83.94°, rel. 11.8
- 89.65°, rel. 14.0

=====

Entry 10:
This entry pairs a crystal structure of GaPd15 with its theoretical powder XRD pattern. Radiation: λ = 1.5418 Å (Cu Kα). Structure: the PBE geometry in OQMD.
Peak positions follow from Bragg's law for the DFT cell and can differ from measured ones.

a = 3.9125 Å, b = 3.9145 Å, c = 45.3551 Å
α = 90.00°, β = 90.00°, γ = 90.00°
Element x y z (fractional)
Ga1 0.2500 0.0000 0.1740
Ga2 0.7500 0.0000 0.8260
Pd1 0.2500 0.0000 0.2577
Pd2 0.2500 0.0000 0.3458
Pd3 0.2500 0.0000 0.4340
Pd4 0.2500 0.0000 0.5220
Pd5 0.2500 0.0000 0.6100
Pd6 0.2500 0.0000 0.6982
Pd7 0.2500 0.0000 0.7878
Pd8 0.2500 0.5000 0.2122
Pd9 0.2500 0.5000 0.3018
Pd10 0.2500 0.5000 0.3899
Pd11 0.2500 0.5000 0.4780
Pd12 0.2500 0.5000 0.5661
Pd13 0.2500 0.5000 0.6540
Pd14 0.2500 0.5000 0.7428
Pd15 0.2500 0.5000 0.8322
Pd16 0.7500 0.0000 0.2122
Pd17 0.7500 0.0000 0.3018
Pd18 0.7500 0.0000 0.3900
Pd19 0.7500 0.0000 0.4780
Pd20 0.7500 0.0000 0.5660
Pd21 0.7500 0.0000 0.6542
Pd22 0.7500 0.0000 0.7423
Pd23 0.7500 0.5000 0.1678
Pd24 0.7500 0.5000 0.2572
Pd25 0.7500 0.5000 0.3460
Pd26 0.7500 0.5000 0.4339
Pd27 0.7500 0.5000 0.5220
Pd28 0.7500 0.5000 0.6101
Pd29 0.7500 0.5000 0.6982
Pd30 0.7500 0.5000 0.7878

Most intense lines, 10° ≤ 2θ ≤ 90°, low angle first:
- 39.21°, rel. 100.0
- 40.40°, rel. 52.9
- 46.03°, rel. 15.8
- 46.41°, rel. 47.7
- 65.80°, rel. 11.5
- 67.42°, rel. 19.6
- 67.73°, rel. 15.0
- 79.81°, rel. 14.8
- 81.14°, rel. 23.2
- 81.91°, rel. 13.0

=====

Entry 11:
This entry pairs a crystal structure of K3DyAs2S8 with its theoretical powder XRD pattern. Radiation: λ = 1.5418 Å (Cu Kα). Structure: the PBE geometry in OQMD.
Peak positions follow from Bragg's law for the DFT cell and can differ from measured ones.

a = 10.8343 Å, b = 10.8343 Å, c = 8.9648 Å
α = 102.84°, β = 102.84°, γ = 122.34°
Element x y z (fractional)
K1 0.0000 0.0000 0.0000
K2 0.0000 0.0000 0.5000
K3 0.2384 0.7616 0.7500
K4 0.4948 0.5052 0.7500
K5 0.5052 0.4948 0.2500
K6 0.7616 0.2384 0.2500
Dy1 0.2570 0.7430 0.2500
Dy2 0.7430 0.2570 0.7500
As1 0.1570 0.4051 0.8997
As2 0.4051 0.1570 0.3997
As3 0.5949 0.8430 0.6003
As4 0.8430 0.5949 0.1003
S1 0.0001 0.3564 0.6553
S2 0.9999 0.6436 0.3447
S3 0.0268 0.3750 0.0616
S4 0.2353 0.2588 0.8735
S5 0.2588 0.2353 0.3735
S6 0.3399 0.6315 0.4743
S7 0.3564 0.0001 0.1553
S8 0.3685 0.6601 0.0257
S9 0.3750 0.0268 0.5616
S10 0.6250 0.9732 0.4384
S11 0.6315 0.3399 0.9743
S12 0.6436 0.9999 0.8447
S13 0.6601 0.3685 0.5257
S14 0.7412 0.7647 0.6265
S15 0.7647 0.7412 0.1265
S16 0.9732 0.6250 0.9384

Most intense lines, 10° ≤ 2θ ≤ 90°, low angle first:
- 11.78°, rel. 100.0
- 19.53°, rel. 14.8
- 22.65°, rel. 21.1
- 26.88°, rel. 28.2
- 28.81°, rel. 17.2
- 29.31°, rel. 26.2
- 35.87°, rel. 23.0
- 35.99°, rel. 14.1
- 38.84°, rel. 18.1
- 40.27°, rel. 15.0

=====

Entry 12:
This entry pairs a crystal structure of CdPPbF with its theoretical powder XRD pattern. Radiation: λ = 1.5418 Å (Cu Kα). Structure: the PBE geometry in OQMD.
Peak positions follow from Bragg's law for the DFT cell and can differ from measured ones.

a = 6.7231 Å, b = 7.0653 Å, c = 7.3679 Å
α = 90.00°, β = 90.00°, γ = 90.00°
Element x y z (fractional)
Cd1 0.0535 0.1288 0.3656
Cd2 0.4465 0.8712 0.8656
Cd3 0.5535 0.3712 0.6344
Cd4 0.9465 0.6288 0.1344
P1 0.1668 0.9112 0.1106
P2 0.3332 0.0888 0.6106
P3 0.6668 0.5888 0.8894
P4 0.8332 0.4112 0.3894
Pb1 0.0183 0.6327 0.6469
Pb2 0.4817 0.3673 0.1469
Pb3 0.5183 0.8673 0.3531
Pb4 0.9817 0.1327 0.8531
F1 0.1486 0.4082 0.9515
F2 0.3514 0.5918 0.4515
F3 0.6486 0.0918 0.0485
F4 0.8514 0.9082 0.5485

Most intense lines, 10° ≤ 2θ ≤ 90°, low angle first:
- 26.52°, rel. 45.6
- 27.30°, rel. 36.2
- 28.54°, rel. 86.7
- 30.42°, rel. 100.0
- 38.43°, rel. 41.4
- 45.73°, rel. 20.1
- 47.79°, rel. 22.6
- 48.08°, rel. 22.4
- 53.64°, rel. 19.5
- 58.13°, rel. 24.0